Structure and simulated powder XRD pattern of RbMoP2O7 (a cell relaxed with GGA+U; Cu Kα (weighted mean of Kα1 and Kα2)).

Structure:
```
data_RbMoP2O7
_cell_length_a 7.6944
_cell_length_b 10.6219
_cell_length_c 8.5955
_cell_angle_alpha 90.00
_cell_angle_beta 106.18
_cell_angle_gamma 90.00
_symmetry_space_group_name_H-M 'P 1 21/c 1'
_symmetry_Int_Tables_number 14
_symmetry_space_group_name_Hall '-P 2ybc'
loop_
_atom_site_label
_atom_site_fract_x
_atom_site_fract_y
_atom_site_fract_z
Rb1 0.1859 0.1800 0.0595
Mo1 0.2365 0.6010 0.2576
P1 0.1275 0.6002 0.8246
P2 0.4347 0.6340 0.6909
O1 0.0014 0.0028 0.7792
O2 0.0765 0.7321 0.7510
O3 0.1371 0.5942 0.0018
O4 0.3236 0.6041 0.5188
O5 0.3277 0.5654 0.8081
O6 0.3757 0.0767 0.7609
O7 0.4503 0.7253 0.2354
```

The 12 most intense peaks (2θ from 10° to 80°), in order of rising 2θ:
hkl  2θ/deg  d/Å  intensity
1 1 0  14.6  6.066  22
1 1 -1  16.0  5.529  24
0 0 2  21.5  4.127  47
1 1 -2  23.1  3.847  33
2 0 0  24.1  3.695  25
1 2 1  24.8  3.590  30
0 3 1  27.4  3.257  47
1 3 0  27.9  3.193  63
1 1 2  28.8  3.098  97
2 2 -1  28.9  3.084  100
1 1 -3  32.5  2.754  24
4 2 -1  50.5  1.806  20